Simulated powder diffractogram
Compound: CeNd12Ho3
Radiation: Cu Kα
Structure: a crystal structure in Alexandria, relaxed with PBE
Lines closer than 0.1° are merged.

The 6 most intense peaks (10° ≤ 2θ ≤ 90°), by angle:
two_theta	d_spacing	I (rel.)
30.04	2.975	100
34.83	2.576	51
50.08	1.822	36
59.51	1.553	43
81.42	1.182	18
84.01	1.152	16

```
data_CeNd12Ho3
_chemical_formula_sum 'Ce1 Nd12 Ho3'
_cell_length_a 5.154
_cell_length_b 5.154
_cell_length_c 20.592
_cell_angle_alpha 90.00
_cell_angle_beta 90.00
_cell_angle_gamma 90.00
_symmetry_space_group_name_H-M 'P 4/m m m'
_symmetry_Int_Tables_number 123
_symmetry_space_group_name_Hall '-P 4 2'
loop_
_atom_site_label
_atom_site_type_symbol
_atom_site_fract_x
_atom_site_fract_y
_atom_site_fract_z
Ce1 Ce 0.000 0.000 0.000
Nd1 Nd 0.000 0.500 0.124
Nd2 Nd 0.000 0.500 0.375
Nd3 Nd 0.500 0.500 0.000
Nd4 Nd 0.500 0.500 0.252
Nd5 Nd 0.500 0.500 0.500
Ho1 Ho 0.000 0.000 0.250
Ho2 Ho 0.000 0.000 0.500
```